(1)
For MgAl2As2H18O18, a structure optimized by DFT (GGA-PBE) gives the theoretical X-ray diffraction stick pattern in this record (Cu Kα, 1.54184 Å).
Lines closer than 0.1° are merged.

```
MgAl2As2H18O18
1.0
5.4330 0.0000 0.0000
-2.3726 6.6362 0.0000
-2.1891 -2.1576 10.0537
Mg Al As H O
1 2 2 18 18
Cartesian
0.0000 0.0000 0.0000
1.6219 -1.0788 5.0269
0.4356 2.2393 5.0269
-3.5615 4.6859 6.7001
4.4328 -0.2074 3.3536
-1.6205 3.2920 2.5576
-2.7704 2.5641 8.2627
-1.7217 3.3575 5.1686
-1.9747 0.5843 9.5144
-1.0187 5.8298 2.0746
0.5205 2.4662 0.9882
-0.9253 1.7585 7.2607
0.0314 0.5867 6.7555
-1.6939 4.7087 8.8195
2.5651 -0.2301 1.2342
0.8399 3.8919 3.2982
1.7966 2.7201 2.7931
0.3508 2.0123 9.0655
1.8900 -1.3512 7.9791
2.8460 3.8943 0.5393
2.5930 1.1211 4.8852
3.6417 1.9145 1.7910
2.4918 1.1866 7.4961
-3.3486 4.1981 8.3327
-2.3627 1.6548 8.1313
-1.0147 1.1715 4.3762
-1.9376 5.4838 3.4957
0.5336 2.0551 0.1031
0.1481 -0.9433 6.2727
-0.7462 6.0972 1.1554
-0.7842 3.6580 5.1120
-0.0073 1.5966 6.8795
0.8786 2.8820 3.1742
1.6555 0.8206 4.9417
1.6175 -1.6186 8.8983
0.7231 5.4219 3.7810
0.3377 2.4235 9.9506
2.8089 -1.0052 6.5580
1.8860 3.3071 5.6775
3.2340 2.8238 1.9224
4.2199 0.2805 1.7211
```

Principal peaks in the range 10° ≤ 2θ ≤ 90°, low angle first:
2θ = 13.65°, I = 100; 2θ = 18.05°, I = 74; 2θ = 27.26°, I = 31; 2θ = 27.49°, I = 40; 2θ = 27.89°, I = 42; 2θ = 30.36°, I = 21; 2θ = 30.66°, I = 35; 2θ = 33.98°, I = 32

(2)
For AgBi5Te8, a structure optimized by DFT (GGA-PBE) gives the theoretical X-ray diffraction stick pattern in this record (Cu Kα, 1.54184 Å).
Lines closer than 0.1° are merged.

```
AgBi5Te8
1.0
0.0000 6.4873 6.4873
6.4873 0.0000 6.4873
6.4873 6.4873 0.0000
Ag Bi Te
1 5 8
Cartesian
0.0000 0.0000 0.0000
8.1826 4.7921 4.7921
3.2437 3.2437 3.2437
4.7921 8.1826 4.7921
4.7921 4.7921 8.1826
8.1826 8.1826 8.1826
4.9864 4.9864 4.9864
7.9882 7.9882 4.9864
7.9882 4.9864 7.9882
11.3128 8.1492 8.1492
4.9864 7.9882 7.9882
8.1492 11.3128 8.1492
8.1492 8.1492 11.3128
11.3128 11.3128 11.3128
```

Principal peaks in the range 10° ≤ 2θ ≤ 90°, low angle first:
2θ = 22.73°, I = 70; 2θ = 27.50°, I = 64; 2θ = 35.97°, I = 41; 2θ = 39.28°, I = 100; 2θ = 48.62°, I = 17; 2θ = 54.31°, I = 19; 2θ = 64.21°, I = 21; 2θ = 71.21°, I = 32

(3)
For LaCe3Y2P6, a structure optimized by DFT (GGA-PBE) gives the theoretical X-ray diffraction stick pattern in this record (Cu Kα, 1.54184 Å).
Lines closer than 0.1° are merged.

```
LaCe3Y2P6
1.0
3.5488 -6.1475 0.0000
3.5488 6.1475 0.0000
-2.3693 0.0000 6.6775
La Ce Y P
1 3 2 6
Cartesian
0.0000 0.0000 0.0000
2.3641 4.1159 3.3388
2.3641 0.0000 3.3388
2.3641 -4.1159 3.3388
3.5488 2.0549 0.0000
3.5488 -2.0549 0.0000
1.2102 2.0966 1.6908
0.0533 0.0000 4.9972
1.2102 -2.0966 1.6908
3.5181 2.0966 4.9868
4.6750 0.0000 1.6803
3.5181 -2.0966 4.9868
```

Principal peaks in the range 10° ≤ 2θ ≤ 90°, low angle first:
2θ = 26.64°, I = 34; 2θ = 26.68°, I = 34; 2θ = 30.88°, I = 100; 2θ = 44.24°, I = 72; 2θ = 52.40°, I = 33; 2θ = 54.89°, I = 19; 2θ = 73.02°, I = 16; 2θ = 81.37°, I = 18

(4)
For Ac3TePb2, a structure optimized by DFT (GGA-PBE) gives the theoretical X-ray diffraction stick pattern in this record (Cu Kα, 1.54184 Å).
Lines closer than 0.1° are merged.

```
Ac3TePb2
1.0
6.8369 0.0000 0.0000
0.0000 14.5216 0.0000
-0.0058 0.0000 9.6378
Ac Te Pb
12 4 8
Cartesian
1.7049 1.1922 1.2172
1.7015 1.2298 6.0323
1.7044 6.0310 1.2134
1.7020 6.0686 6.0361
1.7137 10.8724 6.0121
1.7166 10.9099 1.1932
5.1145 3.6117 8.4445
5.1174 3.6491 3.6256
5.1290 8.4530 3.6017
5.1267 8.4906 8.4244
5.1296 13.2918 3.6055
5.1261 13.3294 8.4206
1.7082 8.4571 8.4600
1.7111 13.3253 3.6411
5.1199 1.1963 5.9966
5.1228 6.0645 1.1777
1.6984 3.6015 3.6037
1.6955 3.6593 8.4226
1.7110 8.4667 3.5999
1.7081 13.3157 8.4188
5.1229 1.2059 1.2190
5.1200 6.0549 6.0379
5.1355 10.8623 1.2151
5.1326 10.9201 6.0340
```

Principal peaks in the range 10° ≤ 2θ ≤ 90°, low angle first:
2θ = 26.08°, I = 100; 2θ = 37.20°, I = 67; 2θ = 37.32°, I = 13; 2θ = 45.94°, I = 15; 2θ = 46.09°, I = 15; 2θ = 53.66°, I = 14; 2θ = 60.57°, I = 27; 2θ = 67.02°, I = 15